For TmThSi2, a cell relaxed with GGA-PBE gives the simulated PXRD pattern in this record (Cu Kα).
Intensities are scaled so that the largest is 100.

Atomic structure:
a = 3.919 Å, b = 5.795 Å, c = 7.970 Å
α = 90.00°, β = 90.00°, γ = 90.00°
Space group Pmc2_1 (No. 26)
Symmetry-distinct sites (fractional):
Tm1 0.000 0.131 0.000 [2 per cell]
Th1 0.500 0.369 0.359 [2 per cell]
Si1 0.000 0.371 0.643 [2 per cell]
Si2 0.500 0.119 0.719 [2 per cell]

Principal peaks in the range 15° ≤ 2θ ≤ 90°, in order of rising 2θ:
two_theta, I (rel.)
27.16, 35
27.47, 48
29.71, 100
32.03, 72
32.89, 82
35.67, 42
37.23, 42
40.33, 37
52.22, 39
58.00, 47



For H2PbF, a cell relaxed with GGA-PBE gives the simulated PXRD pattern in this record (Cu Kα).
Intensities are scaled so that the largest is 100.

Atomic structure:
a = 3.996 Å, b = 3.996 Å, c = 12.967 Å
α = 90.00°, β = 90.00°, γ = 90.00°
Space group I-42d (No. 122)
Symmetry-distinct sites (fractional):
H1 0.148 0.250 0.125 [8 per cell]
Pb1 0.000 0.000 0.000 [4 per cell]
F1 0.000 0.000 0.500 [4 per cell]

Principal peaks in the range 15° ≤ 2θ ≤ 90°, in order of rising 2θ:
two_theta, I (rel.)
23.30, 91
27.52, 44
30.47, 46
34.63, 100
41.51, 21
45.40, 23
51.63, 23
53.37, 29
53.91, 29
76.87, 20



For CsSrInCl4, a cell relaxed with GGA-PBE gives the simulated PXRD pattern in this record (Cu Kα).
Intensities are scaled so that the largest is 100.

Atomic structure:
a = 5.675 Å, b = 5.675 Å, c = 17.083 Å
α = 90.00°, β = 90.00°, γ = 90.00°
Space group I4mm (No. 107)
Symmetry-distinct sites (fractional):
Cs1 0.000 0.000 0.000 [2 per cell]
Sr1 0.000 0.000 0.359 [2 per cell]
In1 0.000 0.000 0.700 [2 per cell]
Cl1 0.000 0.000 0.195 [2 per cell]
Cl2 0.000 0.000 0.539 [2 per cell]
Cl3 0.000 0.500 0.371 [4 per cell]

Principal peaks in the range 15° ≤ 2θ ≤ 90°, in order of rising 2θ:
two_theta, I (rel.)
22.13, 100
30.56, 23
31.42, 14
31.53, 40
38.82, 42
45.14, 34
50.88, 16
56.08, 10
61.01, 12
74.80, 10